# VRh
Calculated X-ray powder pattern, copper Kα. Input: the GGA-PBE geometry in the Materials Project.

Structural model:
abc: 2.7425 2.7425 3.6642
angles: 90.00 90.00 90.00
Space group P4/mmm (No. 123)
Asymmetric unit:
V 0.0000 0.0000 0.0000 (multiplicity 1)
Rh 0.5000 0.5000 0.5000 (multiplicity 1)

Peak list (8 most intense, 10° ≤ 2θ ≤ 80°, low angle first)
| two_theta | intensity |
| --- | --- |
| 24.29 | 13 |
| 32.65 | 12 |
| 41.11 | 100 |
| 46.85 | 34 |
| 49.77 | 14 |
| 53.46 | 6 |
| 68.42 | 10 |
| 70.74 | 19 |

***

# VRh
Calculated X-ray powder pattern, copper Kα. Input: the GGA-PBE geometry in the Materials Project.

Structural model:
abc: 5.8392 6.7124 2.7964
angles: 90.00 90.00 90.00
Space group Cmmm (No. 65)
Asymmetric unit:
V 0.2036 0.0000 0.0000 (multiplicity 4)
Rh 0.0000 0.2857 0.5000 (multiplicity 4)

Peak list (8 most intense, 10° ≤ 2θ ≤ 80°, low angle first)
| two_theta | intensity |
| --- | --- |
| 30.62 | 23 |
| 40.97 | 96 |
| 42.06 | 100 |
| 43.31 | 28 |
| 44.88 | 85 |
| 72.73 | 19 |
| 73.35 | 22 |
| 79.36 | 18 |

***

# YRh2
Calculated X-ray powder pattern, copper Kα. Input: the GGA-PBE geometry in the Materials Project.

Structural model:
abc: 7.5744 7.5744 7.5744
angles: 90.00 90.00 90.00
Space group Fd-3m (No. 227, origin choice 2)
Asymmetric unit:
Y 0.1250 0.1250 0.1250 (multiplicity 8)
Rh 0.0000 0.0000 0.5000 (multiplicity 16)

Peak list (8 most intense, 10° ≤ 2θ ≤ 80°, low angle first)
| two_theta | intensity |
| --- | --- |
| 20.31 | 11 |
| 33.46 | 23 |
| 39.46 | 100 |
| 41.29 | 45 |
| 48.05 | 7 |
| 59.82 | 8 |
| 63.86 | 31 |
| 70.31 | 28 |

***

# YRh3
Calculated X-ray powder pattern, copper Kα. Input: the GGA-PBE geometry in the Materials Project.

Structural model:
abc: 5.2653 5.2653 17.5950
angles: 90.00 90.00 120.00
Space group P6_3/mmc (No. 194)
Asymmetric unit:
Y 0.3333 0.6667 0.0420 (multiplicity 4)
Y 0.3333 0.6667 0.2500 (multiplicity 2)
Rh 0.0000 0.0000 0.0000 (multiplicity 2)
Rh 0.0000 0.0000 0.2500 (multiplicity 2)
Rh 0.1670 0.3340 0.6261 (multiplicity 12)
Rh 0.3333 0.6667 0.7500 (multiplicity 2)

Peak list (8 most intense, 10° ≤ 2θ ≤ 80°, low angle first)
| two_theta | intensity |
| --- | --- |
| 32.13 | 20 |
| 34.06 | 16 |
| 39.90 | 100 |
| 41.02 | 32 |
| 42.54 | 31 |
| 44.77 | 16 |
| 64.91 | 17 |
| 71.70 | 19 |

***

# Y4Rh
Calculated X-ray powder pattern, copper Kα. Input: the GGA-PBE geometry in the Materials Project.

Structural model:
abc: 10.8636 10.8636 10.8636
angles: 90.00 90.00 90.00
Space group Fd-3m (No. 227, origin choice 2)
Asymmetric unit:
Y 0.0133 0.0133 0.2367 (multiplicity 32)
Rh 0.1250 0.1250 0.6250 (multiplicity 8)

Peak list (8 most intense, 10° ≤ 2θ ≤ 80°, low angle first)
| two_theta | intensity |
| --- | --- |
| 23.16 | 28 |
| 28.46 | 100 |
| 32.98 | 23 |
| 36.04 | 28 |
| 43.28 | 25 |
| 47.34 | 54 |
| 56.16 | 33 |
| 71.02 | 10 |

***

# YRh
Calculated X-ray powder pattern, copper Kα. Input: the GGA-PBE geometry in the Materials Project.

Structural model:
abc: 3.4439 3.4439 3.4439
angles: 90.00 90.00 90.00
Space group Pm-3m (No. 221)
Asymmetric unit:
Y 0.0000 0.0000 0.0000 (multiplicity 1)
Rh 0.5000 0.5000 0.5000 (multiplicity 1)

Peak list (5 most intense, 10° ≤ 2θ ≤ 80°, low angle first)
| two_theta | intensity |
| --- | --- |
| 25.87 | 1 |
| 36.91 | 100 |
| 53.19 | 17 |
| 66.50 | 34 |
| 78.56 | 10 |

***

# Y7Rh3
Calculated X-ray powder pattern, copper Kα. Input: the GGA-PBE geometry in the Materials Project.

Structural model:
abc: 9.8281 9.8281 6.2205
angles: 90.00 90.00 120.00
Space group P6_3mc (No. 186)
Asymmetric unit:
Y 0.0817 0.5408 0.0000 (multiplicity 6)
Y 0.1246 0.2492 0.3089 (multiplicity 6)
Y 0.3333 0.6667 0.5104 (multiplicity 2)
Rh 0.1898 0.3796 0.7348 (multiplicity 6)

Peak list (8 most intense, 10° ≤ 2θ ≤ 80°, low angle first)
| two_theta | intensity |
| --- | --- |
| 30.60 | 43 |
| 31.30 | 100 |
| 31.53 | 26 |
| 34.75 | 77 |
| 35.76 | 60 |
| 36.57 | 54 |
| 40.34 | 26 |
| 48.87 | 39 |